The following is a calculated powder X-ray diffraction pattern of Al2Si3H8N2O10. It was derived from a PBE-relaxed structure, using λ = 1.5418 Å (Cu Kα).
Kinematic intensities with the Lorentz-polarization factor, no thermal factor.

The 6 most intense peaks (2θ from 5° to 70°), by intensity:
| 2θ/deg | I_rel |
| --- | --- |
| 13.63 | 100 |
| 31.45 | 79 |
| 20.35 | 73 |
| 15.04 | 59 |
| 28.71 | 36 |
| 28.26 | 30 |

abc: 9.786 9.740 12.992
angles: 48.44 48.14 83.42
Atoms (fractional coordinates):
Al1 0.370 0.630 0.438
Al2 0.630 0.370 0.562
Al3 0.688 0.812 0.620
Al4 0.812 0.688 0.880
Si1 0.114 0.114 0.886
Si2 0.124 0.858 0.447
Si3 0.364 0.364 0.136
Si4 0.679 0.803 0.392
Si5 0.803 0.679 0.126
Si6 0.858 0.124 0.571
H1 0.022 0.292 0.044
H2 0.024 0.516 0.973
H3 0.206 0.607 0.228
H4 0.213 0.471 0.950
H5 0.237 0.558 0.769
H6 0.277 0.763 0.226
H7 0.292 0.022 0.643
H8 0.300 0.883 0.037
H9 0.471 0.213 0.367
H10 0.481 0.815 0.013
H11 0.516 0.024 0.487
H12 0.558 0.237 0.435
H13 0.607 0.206 0.958
H14 0.763 0.277 0.734
H15 0.815 0.481 0.692
H16 0.883 0.300 0.779
N1 0.123 0.458 0.936
N2 0.314 0.767 0.127
N3 0.458 0.123 0.483
N4 0.767 0.314 0.792
O1 0.036 0.909 0.944
O2 0.048 0.768 0.647
O3 0.139 0.306 0.341
O4 0.161 0.332 0.692
O5 0.255 0.761 0.375
O6 0.306 0.139 0.214
O7 0.332 0.161 0.815
O8 0.435 0.558 0.918
O9 0.453 0.720 0.480
O10 0.558 0.435 0.089
O11 0.603 0.713 0.202
O12 0.641 0.875 0.489
O13 0.713 0.603 0.482
O14 0.720 0.453 0.347
O15 0.761 0.255 0.609
O16 0.768 0.048 0.537
O17 0.770 0.903 0.797
O18 0.875 0.641 0.995
O19 0.903 0.770 0.530
O20 0.909 0.036 0.111